# BaSr7Co4Cu4O24
Simulated powder diffraction line list, Cu Kα. Input: a crystal structure in the Materials Project, relaxed with GGA+U.
Lines closer than 0.1° are merged.

Largest 6 diffraction maxima, by angle, 15° ≤ 2θ ≤ 90°:
2θ = 32.51°, I 100.0, hkl 2 2 0; 2θ = 40.10°, I 10.5, hkl 0 4 2; 2θ = 46.64°, I 36.6, hkl 4 0 4; 2θ = 57.98°, I 28.4, hkl 6 0 0; 2θ = 68.04°, I 10.5, hkl 4 4 0; 2θ = 77.50°, I 16.1, hkl 6 2 4

Atomic structure:
```
data_BaSr7Co4Cu4O24
_chemical_formula_sum 'Ba3 Sr21 Co12 Cu12 O72'
_symmetry_space_group_name_H-M 'R 3 m'
_symmetry_Int_Tables_number 160
_symmetry_space_group_name_Hall 'R 3 -2"'
_cell_length_a 11.0237
_cell_length_b 11.0237
_cell_length_c 13.4735
_cell_angle_alpha 90.00
_cell_angle_beta 90.00
_cell_angle_gamma 120.00
loop_
_atom_site_label
_atom_site_type_symbol
_atom_site_fract_x
_atom_site_fract_y
_atom_site_fract_z
Ba1 Ba 0.0000 0.0000 0.0000
Sr1 Sr 0.0000 0.0000 0.5028
Sr2 Sr 0.0026 0.5013 0.5003
Sr3 Sr 0.1680 0.3359 0.3348
Co1 Co 0.0000 0.0000 0.2522
Co2 Co 0.1670 0.3340 0.0849
Cu1 Cu 0.0000 0.0000 0.7507
Cu2 Cu 0.0005 0.5002 0.2509
O1 O 0.0027 0.2574 0.0028
O2 O 0.0832 0.1664 0.6663
O3 O 0.0834 0.1667 0.1726
O4 O 0.0847 0.4157 0.1659
O5 O 0.1630 0.0815 0.3333
O6 O 0.1717 0.0858 0.8305
```